# 1
For CdI2, a GGA-PBE-relaxed structure gives the calculated powder diffraction line list in this record (a wavelength of 1.5418 Å).
Intensities are scaled so that the largest is 100.

Structure:
```
CdI2
1.0
4.338 0.000 0.000
-2.169 3.756 0.000
0.000 0.000 88.927
Cd I
12 24
Cartesian
0.000 0.000 0.000
0.000 0.000 7.413
0.000 0.000 14.821
0.000 0.000 22.235
0.000 0.000 29.642
0.000 0.000 37.055
0.000 0.000 44.463
0.000 0.000 51.876
0.000 0.000 66.698
0.000 0.000 74.105
0.000 2.504 59.285
0.000 2.504 81.519
0.000 0.000 61.008
0.000 0.000 83.242
0.000 2.504 1.724
0.000 2.504 9.136
0.000 2.504 16.545
0.000 2.504 23.957
0.000 2.504 31.366
0.000 2.504 38.778
0.000 2.504 46.187
0.000 2.504 53.599
0.000 2.504 68.421
0.000 2.504 75.829
2.169 1.252 5.691
2.169 1.252 13.098
2.169 1.252 20.512
2.169 1.252 27.920
2.169 1.252 35.333
2.169 1.252 42.740
2.169 1.252 50.154
2.169 1.252 57.562
2.169 1.252 64.976
2.169 1.252 72.382
2.169 1.252 79.797
2.169 1.252 87.205
```

Largest 10 diffraction maxima, most intense first, 2θ from 10° to 90°:
2θ = 26.6°, d = 3.351 Å, I = 100, (0 1 12)
2θ = 11.9°, d = 7.411 Å, I = 47, (0 0 12)
2θ = 41.6°, d = 2.169 Å, I = 43, (1 1 0)
2θ = 34.0°, d = 2.638 Å, I = 40, (0 1 24)
2θ = 43.9°, d = 2.064 Å, I = 28, (1 0 36)
2θ = 66.4°, d = 1.409 Å, I = 19, (1 1 48)
2θ = 50.1°, d = 1.821 Å, I = 17, (2 0 12)
2θ = 67.1°, d = 1.394 Å, I = 14, (1 2 12)
2θ = 43.5°, d = 2.081 Å, I = 11, (1 1 12)
2θ = 77.6°, d = 1.231 Å, I = 10, (2 1 36)

=====

# 2
For CdI2, a GGA-PBE-relaxed structure gives the calculated powder diffraction line list in this record (a wavelength of 1.5418 Å).
Intensities are scaled so that the largest is 100.

Structure:
```
CdI2
1.0
4.332 0.000 0.000
-2.166 3.751 0.000
0.000 0.000 74.827
Cd I
10 20
Cartesian
0.000 0.000 0.000
0.000 0.000 7.484
0.000 0.000 14.965
0.000 0.000 22.447
0.000 0.000 29.929
0.000 0.000 37.413
0.000 0.000 44.898
0.000 0.000 52.379
0.000 0.000 59.861
2.166 1.250 67.344
0.000 0.000 65.617
0.000 2.501 1.726
0.000 2.501 9.211
0.000 2.501 16.691
0.000 2.501 24.174
0.000 2.501 31.656
0.000 2.501 39.140
0.000 2.501 46.625
0.000 2.501 54.106
0.000 2.501 61.587
0.000 2.501 69.071
2.166 1.250 5.757
2.166 1.250 13.239
2.166 1.250 20.721
2.166 1.250 28.202
2.166 1.250 35.687
2.166 1.250 43.171
2.166 1.250 50.653
2.166 1.250 58.134
2.166 1.250 73.101
```

Largest 10 diffraction maxima, most intense first, 2θ from 10° to 90°:
2θ = 26.6°, d = 3.354 Å, I = 100, (0 1 10)
2θ = 33.8°, d = 2.649 Å, I = 46, (0 1 20)
2θ = 11.8°, d = 7.483 Å, I = 46, (0 0 10)
2θ = 43.6°, d = 2.078 Å, I = 40, (1 0 30)
2θ = 41.7°, d = 2.166 Å, I = 40, (1 1 0)
2θ = 50.1°, d = 1.819 Å, I = 17, (2 0 10)
2θ = 66.0°, d = 1.416 Å, I = 17, (1 1 40)
2θ = 67.2°, d = 1.393 Å, I = 14, (1 2 10)
2θ = 54.8°, d = 1.676 Å, I = 14, (2 0 20)
2θ = 77.4°, d = 1.233 Å, I = 12, (2 1 30)

=====

# 3
For CdI2, a GGA-PBE-relaxed structure gives the calculated powder diffraction line list in this record (a wavelength of 1.5418 Å).
Intensities are scaled so that the largest is 100.

Structure:
```
CdI2
1.0
4.333 0.000 0.000
-2.166 3.752 0.000
0.000 0.000 67.421
Cd I
9 18
Cartesian
0.000 0.000 0.000
0.000 0.000 7.492
0.000 0.000 14.981
0.000 0.000 29.967
0.000 2.501 44.946
2.166 1.251 22.477
2.166 1.251 37.459
2.166 1.251 52.440
2.166 1.251 59.930
0.000 0.000 20.751
0.000 0.000 35.733
0.000 0.000 43.220
0.000 0.000 50.713
0.000 0.000 58.203
0.000 2.501 1.727
0.000 2.501 9.220
0.000 2.501 16.707
0.000 2.501 24.203
0.000 2.501 31.692
0.000 2.501 39.186
0.000 2.501 54.167
0.000 2.501 61.656
2.166 1.251 5.765
2.166 1.251 13.255
2.166 1.251 28.242
2.166 1.251 46.672
2.166 1.251 65.693
```

Largest 10 diffraction maxima, most intense first, 2θ from 10° to 90°:
2θ = 26.6°, d = 3.355 Å, I = 100, (1 0 9)
2θ = 11.8°, d = 7.491 Å, I = 79, (0 0 9)
2θ = 41.7°, d = 2.166 Å, I = 67, (1 1 0)
2θ = 43.5°, d = 2.080 Å, I = 43, (0 1 27)
2θ = 65.9°, d = 1.417 Å, I = 29, (1 1 36)
2θ = 48.6°, d = 1.874 Å, I = 23, (0 0 36)
2θ = 30.2°, d = 2.960 Å, I = 22, (0 1 14)
2θ = 27.2°, d = 3.279 Å, I = 22, (0 1 10)
2θ = 26.0°, d = 3.428 Å, I = 19, (0 1 8)
2θ = 50.1°, d = 1.820 Å, I = 17, (0 2 9)